Entry 1:
Diffraction record for CaAcTaN3. The powder XRD pattern is computed, not measured: it uses a crystal structure in Alexandria, relaxed with PBE and CuKα.
Peak positions follow from Bragg's law for the DFT cell and can differ from measured ones.

Largest 10 diffraction maxima, in order of rising 2θ, 10 to 80 degrees two-theta:
| two_theta | intensity |
| --- | --- |
| 12.45 | 28 |
| 25.57 | 44 |
| 30.00 | 100 |
| 31.32 | 45 |
| 31.51 | 45 |
| 33.04 | 95 |
| 40.32 | 28 |
| 45.43 | 25 |
| 49.42 | 29 |
| 53.19 | 27 |

Atomic structure:
```
CaAcTaN3
1.0
6.971 -1.996 0.000
6.971 1.996 0.000
-1.998 0.000 7.109
Ca Ac Ta N
2 2 2 6
Cartesian
2.123 0.000 0.554
9.820 0.000 6.555
0.931 0.000 4.107
11.012 0.000 3.002
6.558 0.000 1.468
5.385 0.000 5.641
-0.514 0.000 1.860
4.509 0.000 1.188
3.498 0.000 4.777
8.446 0.000 2.332
7.434 0.000 5.921
12.457 0.000 5.249
```

Entry 2:
Diffraction record for BaYAl. The powder XRD pattern is computed, not measured: it uses a crystal structure in Alexandria, relaxed with PBE and CuKα.
Peak positions follow from Bragg's law for the DFT cell and can differ from measured ones.

Largest 10 diffraction maxima, in order of rising 2θ, 10 to 80 degrees two-theta:
| two_theta | intensity |
| --- | --- |
| 23.38 | 100 |
| 26.11 | 25 |
| 26.68 | 30 |
| 30.15 | 75 |
| 31.88 | 93 |
| 35.11 | 69 |
| 42.04 | 35 |
| 45.71 | 33 |
| 55.74 | 25 |
| 58.91 | 30 |

Atomic structure:
```
BaYAl
1.0
3.970 0.000 0.000
0.000 3.970 0.000
0.000 0.000 13.364
Ba Y Al
2 2 2
Cartesian
0.992 0.992 1.950
2.977 2.977 11.414
0.992 0.992 5.605
2.977 2.977 7.759
0.992 0.992 9.084
2.977 2.977 4.280
```

Entry 3:
Diffraction record for SrIn2Hg7. The powder XRD pattern is computed, not measured: it uses a crystal structure in Alexandria, relaxed with PBE and CuKα.
Peak positions follow from Bragg's law for the DFT cell and can differ from measured ones.

Largest 10 diffraction maxima, in order of rising 2θ, 10 to 80 degrees two-theta:
| two_theta | intensity |
| --- | --- |
| 30.08 | 80 |
| 34.46 | 100 |
| 36.27 | 29 |
| 46.39 | 40 |
| 50.89 | 11 |
| 58.65 | 11 |
| 59.03 | 21 |
| 61.72 | 19 |
| 62.91 | 12 |
| 72.65 | 12 |

Atomic structure:
```
SrIn2Hg7
1.0
5.206 0.000 0.000
-2.603 4.509 0.000
0.000 0.000 11.857
Sr In Hg
1 2 7
Cartesian
0.000 0.000 0.000
0.000 3.006 7.532
2.603 1.503 5.788
0.000 0.000 3.601
0.000 0.000 7.591
0.000 3.006 1.638
0.000 3.006 4.592
0.000 3.006 10.407
2.603 1.503 1.999
2.603 1.503 9.732
```

Entry 4:
Diffraction record for Rb2NaBiF8. The powder XRD pattern is computed, not measured: it uses a crystal structure in Alexandria, relaxed with PBE and CuKα.
Peak positions follow from Bragg's law for the DFT cell and can differ from measured ones.

Largest 10 diffraction maxima, in order of rising 2θ, 10 to 80 degrees two-theta:
| two_theta | intensity |
| --- | --- |
| 10.37 | 89 |
| 17.53 | 68 |
| 21.91 | 41 |
| 22.41 | 72 |
| 25.24 | 100 |
| 25.37 | 49 |
| 28.51 | 40 |
| 38.80 | 54 |
| 42.45 | 46 |
| 48.44 | 36 |

Atomic structure:
```
Rb2NaBiF8
1.0
4.650 0.000 0.000
0.000 8.528 0.000
-0.809 0.000 6.287
Rb Na Bi F
2 1 1 8
Cartesian
0.000 2.012 0.000
0.000 6.515 0.000
1.920 0.000 3.143
1.920 4.264 3.143
0.236 4.264 1.944
0.391 0.000 1.658
1.301 2.737 4.404
1.301 5.790 4.404
2.540 2.737 1.883
2.540 5.790 1.883
3.450 0.000 4.629
3.605 4.264 4.343
```